Calculated X-ray powder pattern
Compound: LaLu3S6
Radiation: Cu Kα, 1.54184 Å
Structure: DFT lattice parameters and positions (GGA-PBE)
Neutral-atom scattering factors, no anomalous dispersion.

Principal peaks in the range 10° ≤ 2θ ≤ 90°, low angle first:
16.3°, I 30.4
23.8°, I 75.3
24.2°, I 100.0
26.4°, I 71.4
27.6°, I 43.5
27.7°, I 50.8
31.1°, I 68.4
34.4°, I 47.8
42.4°, I 60.7
44.2°, I 37.6
45.8°, I 48.3
46.6°, I 33.3

Atomic structure:
Unit cell a=11.014 b=3.961 c=11.222 alpha=90.00 beta=109.00 gamma=90.00
Element x y z (fractional)
La1 0.051 0.250 0.196
La2 0.949 0.750 0.804
Lu1 0.161 0.250 0.588
Lu2 0.321 0.750 0.000
Lu3 0.444 0.250 0.334
Lu4 0.556 0.750 0.666
Lu5 0.679 0.250 0.000
Lu6 0.839 0.750 0.412
S1 0.081 0.750 0.409
S2 0.122 0.250 0.964
S3 0.198 0.750 0.748
S4 0.271 0.750 0.231
S5 0.393 0.250 0.557
S6 0.478 0.250 0.112
S7 0.522 0.750 0.888
S8 0.607 0.750 0.443
S9 0.729 0.250 0.769
S10 0.802 0.250 0.252
S11 0.878 0.750 0.036
S12 0.919 0.250 0.591